# MgCo2Bi2O8
Simulated X-ray diffraction stick pattern, Cu Ka. Input: DFT lattice parameters and positions (PBE+U).
Peak positions follow from Bragg's law for the DFT cell and can differ from measured ones.

Structure:
abc: 6.013 6.105 6.510
angles: 86.59 62.61 60.52
Positions (direct):
Mg: 0.000 0.000 0.000
Co: 0.000 0.500 0.000
Co: 0.500 0.500 0.000
Bi: 0.000 0.500 0.500
Bi: 0.500 0.000 0.000
O: 0.027 0.246 0.199
O: 0.066 0.696 0.173
O: 0.429 0.318 0.824
O: 0.471 0.754 0.801
O: 0.529 0.246 0.199
O: 0.571 0.682 0.176
O: 0.934 0.304 0.827
O: 0.973 0.754 0.801

Principal peaks in the range 2θ from 5° to 70°, by angle:
| index | d_spacing | 2theta | Rel. int. |
| --- | --- | --- | --- |
| 1 1 0 | 4.932 | 18.0 | 100 |
| 1 1 2 | 2.903 | 30.8 | 28 |
| 1 2 1 | 2.772 | 32.3 | 25 |
| 0 2 0 | 2.594 | 34.6 | 36 |
| 2 2 2 | 2.271 | 39.7 | 43 |
| 0 2 -2 | 2.157 | 41.9 | 32 |